# 1
Diffraction record for Na3V3O8. The X-ray powder pattern is simulated, not measured: it uses a GGA+U-relaxed structure and Cu Kα (λ = 1.5418 Å).

Principal peaks in the range 5 to 70 degrees two-theta, by intensity:
31.8°, I = 100.0, (1 1 1); 22.3°, I = 52.3, (1 0 -2); 45.6°, I = 33.1, (0 4 0); 56.7°, I = 26.0, (3 0 0); 66.5°, I = 21.7, (2 2 2); 43.5°, I = 10.5, (0 2 -4); 12.8°, I = 10.1, (0 1 -1); 51.4°, I = 8.4, (2 0 2)

Structure:
```
data_Na3V3O8
_chemical_formula_sum 'Na6 V6 O16'
_cell_length_a 5.6235
_cell_length_b 8.8956
_cell_length_c 8.8995
_cell_angle_alpha 101.57
_cell_angle_beta 108.41
_cell_angle_gamma 108.42
_space_group_name_H-M_alt 'P -1'
_space_group_IT_number 2
loop_
_space_group_symop_operation_xyz
'x,y,z'
'-x,-y,-z'
loop_
_atom_site_label
_atom_site_type_symbol
_atom_site_fract_x
_atom_site_fract_y
_atom_site_fract_z
Na1 Na 0.0009 0.2504 0.2503
Na2 Na 0.3332 0.2522 0.9143
Na3 Na 0.3329 0.7519 0.4138
V1 V 0.0000 0.0000 0.5000
V2 V 0.0000 0.5000 0.0000
V3 V 0.3331 0.4703 0.6966
V4 V 0.3334 0.9701 0.1968
O1 O 0.1655 0.0054 0.3286
O2 O 0.1651 0.5053 0.8285
O3 O 0.1656 0.2547 0.5774
O4 O 0.1658 0.7543 0.0777
O5 O 0.3316 0.4942 0.1716
O6 O 0.3318 0.9950 0.6715
O7 O 0.3332 0.5926 0.5751
O8 O 0.3339 0.0922 0.0751
```



# 2
Diffraction record for La2MnVO6. The X-ray powder pattern is simulated, not measured: it uses a GGA+U-relaxed structure and Cu Kα (λ = 1.5418 Å).

Principal peaks in the range 5 to 70 degrees two-theta, by intensity:
31.6°, I = 100.0, (1 1 1); 45.3°, I = 38.5, (0 0 4); 22.2°, I = 28.0, (0 0 2); 31.8°, I = 24.5, (2 0 -2); 56.5°, I = 23.1, (3 1 -5); 56.0°, I = 21.6, (0 2 4); 31.4°, I = 21.3, (0 2 0); 65.9°, I = 12.4, (2 2 -6)

Structure:
```
data_La2MnVO6
_chemical_formula_sum 'La4 Mn2 V2 O12'
_cell_length_a 5.6265
_cell_length_b 5.7018
_cell_length_c 9.7972
_cell_angle_alpha 90.00
_cell_angle_beta 125.00
_cell_angle_gamma 90.00
_space_group_name_H-M_alt 'P 1 21/c 1'
_space_group_IT_number 14
loop_
_space_group_symop_operation_xyz
'x,y,z'
'-x,-y,-z'
'-x,y+1/2,-z+1/2'
'x,-y+1/2,z+1/2'
loop_
_atom_site_label
_atom_site_type_symbol
_atom_site_fract_x
_atom_site_fract_y
_atom_site_fract_z
La1 La 0.2422 0.0472 0.2514
Mn1 Mn 0.5000 0.0000 0.0000
V1 V 0.0000 0.0000 0.5000
O1 O 0.1377 0.2222 0.9480
O2 O 0.2381 0.6926 0.9533
O3 O 0.3329 0.0271 0.7397
```